As2PbO8: computed powder diffraction line list (Cu Kα, 1.54184 Å), based on a DFT-relaxed cell (GGA-PBE, the Materials Project).
Peak positions follow from Bragg's law for the DFT cell and can differ from measured ones.

Peak list (10 most intense, 5 to 70 degrees two-theta, low angle first)
- 13.3 deg, d = 6.644 Å, intensity 78.1, hkl 0 1 1
- 18.4 deg, d = 4.822 Å, intensity 28.3, hkl 1 1 0
- 22.1 deg, d = 4.022 Å, intensity 100.0, hkl 1 -1 0
- 23.5 deg, d = 3.787 Å, intensity 84.2, hkl 0 0 2
- 23.7 deg, d = 3.758 Å, intensity 57.4, hkl 1 2 1
- 26.4 deg, d = 3.375 Å, intensity 21.8, hkl 1 2 0
- 26.5 deg, d = 3.358 Å, intensity 20.0, hkl 1 2 2
- 31.5 deg, d = 2.844 Å, intensity 46.8, hkl 2 1 1
- 33.5 deg, d = 2.678 Å, intensity 61.2, hkl 1 -1 2
- 38.6 deg, d = 2.331 Å, intensity 22.5, hkl 1 3 3

Structure:
```
As2PbO8
1.0
5.707 0.000 0.000
2.292 7.982 0.000
2.274 2.938 7.574
As Pb O
4 2 16
Direct
0.144 0.079 0.199
0.354 0.513 0.276
0.646 0.487 0.724
0.856 0.921 0.801
0.271 0.194 0.726
0.729 0.806 0.274
0.096 0.301 0.172
0.131 0.689 0.196
0.137 0.989 0.697
0.252 0.042 0.003
0.256 0.328 0.439
0.353 0.944 0.338
0.387 0.442 0.700
0.497 0.427 0.077
0.503 0.573 0.923
0.613 0.558 0.300
0.647 0.056 0.662
0.744 0.672 0.561
0.748 0.958 0.997
0.863 0.011 0.303
0.869 0.311 0.804
0.904 0.699 0.828
```

As2Pb3O8: computed powder diffraction line list (Cu Kα, 1.54184 Å), based on a DFT-relaxed cell (GGA-PBE, the Materials Project).
Peak positions follow from Bragg's law for the DFT cell and can differ from measured ones.

Peak list (10 most intense, 5 to 70 degrees two-theta, low angle first)
- 23.7 deg, d = 3.757 Å, intensity 18.9, hkl 1 1 -2
- 27.4 deg, d = 3.257 Å, intensity 100.0, hkl 2 1 -1
- 28.0 deg, d = 3.190 Å, intensity 28.1, hkl 0 2 0
- 28.3 deg, d = 3.154 Å, intensity 53.6, hkl 1 0 2
- 29.8 deg, d = 2.996 Å, intensity 29.5, hkl 0 2 1
- 31.4 deg, d = 2.852 Å, intensity 75.1, hkl 1 1 -3
- 40.2 deg, d = 2.243 Å, intensity 21.6, hkl 1 2 2
- 43.9 deg, d = 2.061 Å, intensity 20.1, hkl 3 0 -4
- 46.9 deg, d = 1.936 Å, intensity 33.1, hkl 3 1 1
- 48.0 deg, d = 1.895 Å, intensity 22.7, hkl 4 0 -2

Structure:
```
As2Pb3O8
1.0
7.578 0.000 0.000
0.000 6.380 0.000
-3.917 0.000 8.729
As Pb O
4 6 16
Direct
0.202 0.021 0.400
0.202 0.479 0.900
0.798 0.521 0.100
0.798 0.979 0.600
0.000 0.000 0.000
0.000 0.500 0.500
0.374 0.595 0.284
0.374 0.905 0.784
0.626 0.095 0.216
0.626 0.405 0.716
0.037 0.538 0.224
0.037 0.962 0.724
0.252 0.698 0.020
0.252 0.802 0.520
0.280 0.240 0.513
0.280 0.260 0.013
0.319 0.530 0.780
0.319 0.970 0.280
0.681 0.030 0.720
0.681 0.470 0.220
0.720 0.740 0.987
0.720 0.760 0.487
0.748 0.198 0.480
0.748 0.302 0.980
0.963 0.038 0.276
0.963 0.462 0.776
```

As2PbO4: computed powder diffraction line list (Cu Kα, 1.54184 Å), based on a DFT-relaxed cell (GGA-PBE, the Materials Project).
Peak positions follow from Bragg's law for the DFT cell and can differ from measured ones.

Peak list (10 most intense, 5 to 70 degrees two-theta, low angle first)
- 13.1 deg, d = 6.763 Å, intensity 68.1, hkl 1 0 0
- 24.7 deg, d = 3.609 Å, intensity 56.0, hkl 1 1 1
- 25.8 deg, d = 3.448 Å, intensity 47.9, hkl 2 1 -1
- 27.0 deg, d = 3.296 Å, intensity 83.0, hkl 1 3 -1
- 27.8 deg, d = 3.210 Å, intensity 52.2, hkl 1 2 1
- 28.9 deg, d = 3.093 Å, intensity 100.0, hkl 2 2 -1
- 29.4 deg, d = 3.040 Å, intensity 33.3, hkl 0 4 0
- 31.2 deg, d = 2.867 Å, intensity 48.5, hkl 0 1 2
- 32.4 deg, d = 2.764 Å, intensity 37.6, hkl 1 3 1
- 46.0 deg, d = 1.975 Å, intensity 36.3, hkl 2 2 -3

Structure:
```
As2PbO4
1.0
7.336 0.000 0.000
0.000 12.160 0.000
-2.480 0.000 5.901
As Pb O
8 4 16
Direct
0.130 0.141 0.014
0.130 0.359 0.514
0.208 0.584 0.298
0.208 0.916 0.798
0.792 0.084 0.202
0.792 0.416 0.702
0.870 0.641 0.486
0.870 0.859 0.986
0.484 0.658 0.903
0.484 0.842 0.403
0.516 0.158 0.597
0.516 0.342 0.097
0.053 0.090 0.242
0.053 0.410 0.742
0.289 0.021 0.025
0.289 0.479 0.525
0.307 0.698 0.480
0.307 0.802 0.980
0.322 0.224 0.203
0.322 0.276 0.703
0.678 0.724 0.297
0.678 0.776 0.797
0.693 0.198 0.020
0.693 0.302 0.520
0.711 0.521 0.475
0.711 0.979 0.975
0.947 0.590 0.258
0.947 0.910 0.758
```

AsPbO4: computed powder diffraction line list (Cu Kα, 1.54184 Å), based on a DFT-relaxed cell (GGA-PBE, the Materials Project).
Peak positions follow from Bragg's law for the DFT cell and can differ from measured ones.

Peak list (10 most intense, 5 to 70 degrees two-theta, low angle first)
- 17.8 deg, d = 4.975 Å, intensity 18.1, hkl 1 0 0
- 20.8 deg, d = 4.266 Å, intensity 23.4, hkl 0 1 1
- 26.9 deg, d = 3.314 Å, intensity 100.0, hkl 1 1 -1
- 28.2 deg, d = 3.168 Å, intensity 89.5, hkl 1 1 1
- 29.5 deg, d = 3.029 Å, intensity 31.4, hkl 0 0 2
- 29.7 deg, d = 3.004 Å, intensity 28.9, hkl 0 2 0
- 36.1 deg, d = 2.487 Å, intensity 15.1, hkl 2 0 0
- 42.4 deg, d = 2.133 Å, intensity 30.6, hkl 0 2 2
- 47.5 deg, d = 1.916 Å, intensity 30.3, hkl 2 2 0
- 50.0 deg, d = 1.824 Å, intensity 18.3, hkl 1 1 -3

Structure:
```
AsPbO4
1.0
4.985 0.000 0.000
0.000 6.009 0.000
-0.390 0.000 6.058
As Pb O
2 2 8
Direct
0.000 0.244 0.250
0.000 0.756 0.750
0.500 0.229 0.750
0.500 0.771 0.250
0.181 0.410 0.075
0.181 0.590 0.575
0.241 0.090 0.395
0.241 0.910 0.895
0.759 0.090 0.105
0.759 0.910 0.605
0.819 0.410 0.425
0.819 0.590 0.925
```

As2Pb2O5: computed powder diffraction line list (Cu Kα, 1.54184 Å), based on a DFT-relaxed cell (GGA-PBE, the Materials Project).
Peak positions follow from Bragg's law for the DFT cell and can differ from measured ones.

Peak list (10 most intense, 5 to 70 degrees two-theta, low angle first)
- 13.4 deg, d = 6.609 Å, intensity 22.9, hkl 0 0 2
- 20.3 deg, d = 4.385 Å, intensity 29.0, hkl 0 1 2
- 25.4 deg, d = 3.512 Å, intensity 29.6, hkl 2 1 -1
- 26.4 deg, d = 3.377 Å, intensity 100.0, hkl 2 1 0
- 29.0 deg, d = 3.078 Å, intensity 29.9, hkl 2 1 1
- 29.8 deg, d = 3.002 Å, intensity 55.8, hkl 1 1 -4
- 31.3 deg, d = 2.861 Å, intensity 47.5, hkl 0 2 1
- 32.4 deg, d = 2.767 Å, intensity 39.5, hkl 1 0 4
- 50.4 deg, d = 1.812 Å, intensity 19.6, hkl 1 2 5
- 51.2 deg, d = 1.785 Å, intensity 21.1, hkl 2 3 -1

Structure:
```
As2Pb2O5
1.0
8.763 0.000 0.000
0.000 5.861 0.000
-4.658 0.000 13.217
As Pb O
8 8 20
Direct
0.114 0.122 0.369
0.114 0.378 0.869
0.384 0.626 0.063
0.384 0.874 0.563
0.616 0.126 0.437
0.616 0.374 0.937
0.886 0.622 0.131
0.886 0.878 0.631
0.144 0.158 0.122
0.144 0.342 0.622
0.348 0.663 0.296
0.348 0.837 0.796
0.652 0.163 0.204
0.652 0.337 0.704
0.856 0.658 0.378
0.856 0.842 0.878
0.072 0.006 0.701
0.072 0.494 0.201
0.177 0.613 0.966
0.177 0.887 0.466
0.238 0.045 0.294
0.238 0.455 0.794
0.346 0.667 0.646
0.346 0.833 0.146
0.378 0.123 0.637
0.378 0.377 0.137
0.622 0.623 0.863
0.622 0.877 0.363
0.654 0.167 0.854
0.654 0.333 0.354
0.762 0.545 0.206
0.762 0.955 0.706
0.823 0.113 0.534
0.823 0.387 0.034
0.928 0.506 0.799
0.928 0.994 0.299
```